For ThZn3Ag10, a DFT-relaxed cell (GGA-PBE, Alexandria) gives the calculated X-ray diffraction stick pattern in this record (copper Kα).
No peak broadening, texture or thermal motion is included.

Cell and atoms:
Cell lengths 13.039, 13.039, 13.039 Å; angles 90.00, 90.00, 90.00 degrees
Space group Fm-3m (No. 225)
Symmetry-distinct sites (fractional):
Th  0.250  0.250  0.250
Zn  0.000  0.000  0.235
Ag  0.000  0.174  0.326
Ag  0.116  0.116  0.116

Peak list (10 most intense, 10 to 80 degrees two-theta, low angle first)
- d = 2.916 Å, 30.66°, I = 58, hkl 4 2 0
- d = 2.662 Å, 33.67°, I = 31, hkl 4 2 2
- d = 2.509 Å, 35.78°, I = 100, hkl 3 3 3
- d = 2.305 Å, 39.08°, I = 60, hkl 4 4 0
- d = 2.204 Å, 40.95°, I = 54, hkl 5 3 1
- d = 1.966 Å, 46.18°, I = 50, hkl 6 2 2
- d = 1.581 Å, 58.36°, I = 19, hkl 6 4 4
- d = 1.537 Å, 60.22°, I = 34, hkl 6 6 0
- d = 1.431 Å, 65.18°, I = 14, hkl 9 1 1
- d = 1.331 Å, 70.80°, I = 32, hkl 8 4 4